(1)
Diffraction record for K3Bi3Pt2. The X-ray powder pattern is calculated, not measured: it uses a crystal structure in Alexandria, relaxed with PBE and Cu Kα, 1.54184 Å.
Neutral-atom scattering factors, no anomalous dispersion.

Crystal structure
Cell lengths 9.173, 16.703, 6.673 Å; angles 90.00, 90.00, 90.00 degrees
Atoms (fractional coordinates):
K  0.034  0.113  0.104
K  0.034  0.387  0.104
K  0.211  0.250  0.571
K  0.289  0.750  0.071
K  0.466  0.613  0.604
K  0.466  0.887  0.604
K  0.534  0.113  0.396
K  0.534  0.387  0.396
K  0.711  0.250  0.929
K  0.789  0.750  0.429
K  0.966  0.613  0.896
K  0.966  0.887  0.896
Bi  0.154  0.750  0.550
Bi  0.168  0.041  0.609
Bi  0.168  0.459  0.609
Bi  0.332  0.541  0.109
Bi  0.332  0.959  0.109
Bi  0.346  0.250  0.050
Bi  0.654  0.750  0.950
Bi  0.668  0.041  0.891
Bi  0.668  0.459  0.891
Bi  0.832  0.541  0.391
Bi  0.832  0.959  0.391
Bi  0.846  0.250  0.450
Pt  0.115  0.601  0.384
Pt  0.115  0.899  0.384
Pt  0.385  0.101  0.884
Pt  0.385  0.399  0.884
Pt  0.615  0.601  0.116
Pt  0.615  0.899  0.116
Pt  0.885  0.101  0.616
Pt  0.885  0.399  0.616

Peak list (6 most intense, 5° ≤ 2θ ≤ 70°, in order of rising 2θ)
16.4°, intensity 100.0; 20.8°, intensity 58.2; 32.2°, intensity 80.6; 32.8°, intensity 60.8; 35.8°, intensity 44.9; 42.7°, intensity 46.7

---

(2)
Diffraction record for Sm8HC3O3. The X-ray powder pattern is calculated, not measured: it uses a crystal structure in Alexandria, relaxed with PBE and Cu Kα, 1.54184 Å.
Neutral-atom scattering factors, no anomalous dispersion.

Crystal structure
Cell lengths 7.217, 7.217, 7.217 Å; angles 60.35, 60.35, 60.35 degrees
Atoms (fractional coordinates):
Sm  0.250  0.250  0.250
Sm  0.252  0.252  0.742
Sm  0.252  0.742  0.252
Sm  0.258  0.748  0.748
Sm  0.742  0.252  0.252
Sm  0.748  0.258  0.748
Sm  0.748  0.748  0.258
Sm  0.750  0.750  0.750
H  0.000  0.000  0.000
C  0.000  0.500  0.500
C  0.500  0.000  0.500
C  0.500  0.500  0.000
O  0.000  0.000  0.500
O  0.000  0.500  0.000
O  0.500  0.000  0.000

Peak list (6 most intense, 5° ≤ 2θ ≤ 70°, in order of rising 2θ)
30.2°, intensity 100.0; 30.4°, intensity 32.8; 35.1°, intensity 89.6; 50.3°, intensity 31.5; 50.6°, intensity 31.1; 59.9°, intensity 29.7

---

(3)
Diffraction record for YEr8Cd6. The X-ray powder pattern is calculated, not measured: it uses a crystal structure in Alexandria, relaxed with PBE and Cu Kα, 1.54184 Å.
Neutral-atom scattering factors, no anomalous dispersion.

Crystal structure
Cell lengths 8.157, 8.157, 8.157 Å; angles 66.19, 66.19, 66.19 degrees
Atoms (fractional coordinates):
Y  0.000  0.000  0.000
Er  0.116  0.450  0.782
Er  0.218  0.884  0.550
Er  0.333  0.333  0.333
Er  0.450  0.782  0.116
Er  0.550  0.218  0.884
Er  0.667  0.667  0.667
Er  0.782  0.116  0.450
Er  0.884  0.550  0.218
Cd  0.053  0.718  0.387
Cd  0.282  0.613  0.947
Cd  0.387  0.053  0.718
Cd  0.613  0.947  0.282
Cd  0.718  0.387  0.053
Cd  0.947  0.282  0.613

Peak list (6 most intense, 5° ≤ 2θ ≤ 70°, in order of rising 2θ)
24.4°, intensity 32.1; 34.8°, intensity 100.0; 34.9°, intensity 92.5; 50.1°, intensity 35.2; 62.2°, intensity 15.7; 62.5°, intensity 52.6

---

(4)
Diffraction record for LaTbSm2Hg4. The X-ray powder pattern is calculated, not measured: it uses a crystal structure in Alexandria, relaxed with PBE and Cu Kα, 1.54184 Å.
Neutral-atom scattering factors, no anomalous dispersion.

Crystal structure
Cell lengths 9.375, 9.375, 9.375 Å; angles 33.33, 33.33, 33.33 degrees
Atoms (fractional coordinates):
La  0.000  0.000  0.000
Tb  0.500  0.500  0.500
Sm  0.249  0.249  0.249
Sm  0.751  0.751  0.751
Hg  0.128  0.128  0.128
Hg  0.379  0.379  0.379
Hg  0.621  0.621  0.621
Hg  0.872  0.872  0.872

Peak list (6 most intense, 5° ≤ 2θ ≤ 70°, in order of rising 2θ)
33.2°, intensity 99.8; 33.3°, intensity 100.0; 47.7°, intensity 36.5; 59.1°, intensity 18.5; 59.5°, intensity 38.0; 59.6°, intensity 19.2

---

(5)
Diffraction record for Ca5PuTl6. The X-ray powder pattern is calculated, not measured: it uses a crystal structure in Alexandria, relaxed with PBE and Cu Kα, 1.54184 Å.
Neutral-atom scattering factors, no anomalous dispersion.

Crystal structure
Cell lengths 9.500, 9.500, 5.488 Å; angles 106.76, 106.76, 119.83 degrees
Atoms (fractional coordinates):
Ca  0.000  0.000  0.000
Ca  0.167  0.833  0.500
Ca  0.333  0.667  0.000
Ca  0.667  0.333  0.000
Ca  0.833  0.167  0.500
Pu  0.500  0.500  0.500
Tl  0.085  0.416  0.250
Tl  0.249  0.249  0.749
Tl  0.416  0.085  0.250
Tl  0.584  0.915  0.750
Tl  0.751  0.751  0.251
Tl  0.915  0.584  0.750

Peak list (6 most intense, 5° ≤ 2θ ≤ 70°, in order of rising 2θ)
22.9°, intensity 19.6; 32.6°, intensity 100.0; 32.7°, intensity 19.8; 46.9°, intensity 14.6; 58.1°, intensity 15.5; 58.2°, intensity 30.7

---

(6)
Diffraction record for K2Hg5. The X-ray powder pattern is calculated, not measured: it uses a crystal structure in Alexandria, relaxed with PBE and Cu Kα, 1.54184 Å.
Neutral-atom scattering factors, no anomalous dispersion.

Crystal structure
Cell lengths 6.393, 6.393, 7.923 Å; angles 105.83, 105.83, 47.55 degrees
Atoms (fractional coordinates):
K  0.137  0.137  0.270
K  0.863  0.863  0.730
Hg  0.163  0.163  0.736
Hg  0.392  0.392  0.074
Hg  0.500  0.500  0.500
Hg  0.608  0.608  0.926
Hg  0.837  0.837  0.264

Peak list (6 most intense, 5° ≤ 2θ ≤ 70°, in order of rising 2θ)
16.7°, intensity 69.5; 29.1°, intensity 42.0; 32.3°, intensity 100.0; 33.2°, intensity 37.4; 34.8°, intensity 45.9; 38.4°, intensity 33.6

---

(7)
Diffraction record for Pm2MgHg8. The X-ray powder pattern is calculated, not measured: it uses a crystal structure in Alexandria, relaxed with PBE and Cu Kα, 1.54184 Å.
Neutral-atom scattering factors, no anomalous dispersion.

Crystal structure
Cell lengths 4.686, 4.686, 12.786 Å; angles 90.00, 90.00, 90.00 degrees
Atoms (fractional coordinates):
Pm  0.000  0.000  0.188
Pm  0.000  0.000  0.812
Mg  0.000  0.000  0.500
Hg  0.000  0.500  0.000
Hg  0.000  0.500  0.366
Hg  0.000  0.500  0.634
Hg  0.500  0.000  0.000
Hg  0.500  0.000  0.366
Hg  0.500  0.000  0.634
Hg  0.500  0.500  0.182
Hg  0.500  0.500  0.818

Peak list (6 most intense, 5° ≤ 2θ ≤ 70°, in order of rising 2θ)
30.4°, intensity 26.6; 34.3°, intensity 100.0; 38.4°, intensity 45.5; 53.0°, intensity 18.9; 64.8°, intensity 18.9; 66.8°, intensity 29.6

---

(8)
Diffraction record for HgH4NCl3. The X-ray powder pattern is calculated, not measured: it uses a crystal structure in Alexandria, relaxed with PBE and Cu Kα, 1.54184 Å.
Neutral-atom scattering factors, no anomalous dispersion.

Crystal structure
Cell lengths 10.427, 4.655, 13.706 Å; angles 90.00, 90.00, 90.00 degrees
Atoms (fractional coordinates):
Hg  0.167  0.250  0.031
Hg  0.333  0.750  0.531
Hg  0.667  0.250  0.469
Hg  0.833  0.750  0.969
H  0.022  0.250  0.718
H  0.064  0.250  0.598
H  0.067  0.569  0.366
H  0.067  0.931  0.366
H  0.433  0.069  0.866
H  0.433  0.431  0.866
H  0.436  0.750  0.098
H  0.478  0.750  0.218
H  0.522  0.250  0.782
H  0.564  0.250  0.902
H  0.567  0.569  0.134
H  0.567  0.931  0.134
H  0.933  0.069  0.634
H  0.933  0.431  0.634
H  0.936  0.750  0.402
H  0.978  0.750  0.282
N  0.012  0.750  0.353
N  0.488  0.250  0.853
N  0.512  0.750  0.147
N  0.988  0.250  0.647
Cl  0.029  0.250  0.892
Cl  0.175  0.250  0.459
Cl  0.234  0.750  0.685
Cl  0.266  0.250  0.185
Cl  0.325  0.750  0.959
Cl  0.471  0.750  0.392
Cl  0.529  0.250  0.608
Cl  0.675  0.250  0.041
Cl  0.734  0.750  0.815
Cl  0.766  0.250  0.315
Cl  0.825  0.750  0.541
Cl  0.971  0.750  0.108

Peak list (6 most intense, 5° ≤ 2θ ≤ 70°, in order of rising 2θ)
10.7°, intensity 71.0; 12.9°, intensity 100.0; 21.9°, intensity 81.3; 25.7°, intensity 48.7; 26.5°, intensity 39.9; 28.8°, intensity 65.9

---

Copy entry 3 word for word.
Diffraction record for YEr8Cd6. The X-ray powder pattern is calculated, not measured: it uses a crystal structure in Alexandria, relaxed with PBE and Cu Kα, 1.54184 Å.
Neutral-atom scattering factors, no anomalous dispersion.

Crystal structure
Cell lengths 8.157, 8.157, 8.157 Å; angles 66.19, 66.19, 66.19 degrees
Atoms (fractional coordinates):
Y  0.000  0.000  0.000
Er  0.116  0.450  0.782
Er  0.218  0.884  0.550
Er  0.333  0.333  0.333
Er  0.450  0.782  0.116
Er  0.550  0.218  0.884
Er  0.667  0.667  0.667
Er  0.782  0.116  0.450
Er  0.884  0.550  0.218
Cd  0.053  0.718  0.387
Cd  0.282  0.613  0.947
Cd  0.387  0.053  0.718
Cd  0.613  0.947  0.282
Cd  0.718  0.387  0.053
Cd  0.947  0.282  0.613

Peak list (6 most intense, 5° ≤ 2θ ≤ 70°, in order of rising 2θ)
24.4°, intensity 32.1; 34.8°, intensity 100.0; 34.9°, intensity 92.5; 50.1°, intensity 35.2; 62.2°, intensity 15.7; 62.5°, intensity 52.6